The following is a simulated X-ray diffraction stick pattern of NdY2Sc4. It was derived from a DFT-relaxed cell (PBE, Alexandria), using Cu Kα (λ = 1.5418 Å).

Most intense lines, 2θ = 10–90°, sorted by position:
| d/Å | 2θ (°) | intensity |
| --- | --- | --- |
| 2.789 | 32.09 | 100 |
| 2.781 | 32.18 | 48 |
| 2.773 | 32.28 | 48 |
| 2.412 | 37.28 | 65 |
| 2.408 | 37.35 | 32 |
| 1.706 | 53.74 | 32 |
| 1.700 | 53.94 | 21 |
| 1.456 | 63.92 | 25 |
| 1.454 | 64.03 | 18 |
| 1.451 | 64.16 | 24 |

a b c (Å): 5.9193 7.6295 8.9966
angles (deg): 90.19 90.14 105.17
Element x y z (fractional)
Nd: 0.0000 0.0000 0.0000
Nd: 0.4293 0.7746 0.0724
Y: 0.0029 0.4926 0.5083
Y: 0.1479 0.9386 0.3656
Y: 0.5761 0.2222 0.9305
Y: 0.5765 0.7140 0.4371
Sc: 0.1459 0.4304 0.8577
Sc: 0.2889 0.3578 0.2200
Sc: 0.2889 0.8573 0.7175
Sc: 0.4327 0.2837 0.5788
Sc: 0.7155 0.1515 0.2940
Sc: 0.7183 0.6422 0.7866
Sc: 0.8594 0.0724 0.6484
Sc: 0.8623 0.5631 0.1468